Structure and calculated X-ray diffraction stick pattern of Tl5AgS4 (DFT lattice parameters and positions (PBE); Cu Kα).
No peak broadening, texture or thermal motion is included.

Cell lengths 8.603, 9.614, 7.789 Å; angles 90.00, 90.00, 90.00 degrees
Space group Pmmn (No. 59, origin choice 2)
Asymmetric unit:
Tl1 0.021 0.058 0.236 [8 per cell]
Tl2 0.250 0.750 0.379 [2 per cell]
Ag1 0.250 0.250 0.750 [2 per cell]
S1 0.020 0.750 0.160 [4 per cell]
S2 0.250 0.515 0.538 [4 per cell]

Most intense lines, 10 to 80 degrees two-theta, most intense first:
- 2θ 30.16, 2.964 Å, I 100
- 2θ 22.83, 3.895 Å, I 69
- 2θ 27.83, 3.205 Å, I 66
- 2θ 25.40, 3.506 Å, I 64
- 2θ 36.30, 2.475 Å, I 57
- 2θ 30.98, 2.887 Å, I 49
- 2θ 53.51, 1.712 Å, I 34
- 2θ 52.58, 1.741 Å, I 34
- 2θ 36.83, 2.440 Å, I 26
- 2θ 49.94, 1.826 Å, I 26

---

Structure and calculated X-ray diffraction stick pattern of Tl3Ag2S3 (DFT lattice parameters and positions (PBE); Cu Kα).
No peak broadening, texture or thermal motion is included.

Cell lengths 4.119, 13.449, 14.586 Å; angles 90.00, 90.00, 90.00 degrees
Space group Cmcm (No. 63)
Asymmetric unit:
Tl1 0.000 0.070 0.125 [8 per cell]
Tl2 0.000 0.371 0.250 [4 per cell]
Ag1 0.000 0.218 0.580 [8 per cell]
S1 0.000 0.284 0.750 [4 per cell]
S2 0.000 0.378 0.025 [8 per cell]

Most intense lines, 10 to 80 degrees two-theta, most intense first:
- 2θ 33.49, 2.676 Å, I 100
- 2θ 30.09, 2.970 Å, I 83
- 2θ 22.57, 3.939 Å, I 37
- 2θ 52.54, 1.742 Å, I 28
- 2θ 32.37, 2.765 Å, I 24
- 2θ 27.22, 3.276 Å, I 23
- 2θ 43.97, 2.059 Å, I 23
- 2θ 34.86, 2.573 Å, I 22
- 2θ 29.20, 3.058 Å, I 18
- 2θ 51.25, 1.783 Å, I 17

---

Structure and calculated X-ray diffraction stick pattern of UTlAg2S4 (DFT lattice parameters and positions (PBE); Cu Kα).
No peak broadening, texture or thermal motion is included.

Cell lengths 7.046, 7.046, 7.845 Å; angles 90.00, 90.00, 90.00 degrees
Space group I-42m (No. 121)
Asymmetric unit:
U1 0.000 0.000 0.000 [2 per cell]
Tl1 0.000 0.000 0.500 [2 per cell]
Ag1 0.000 0.500 0.250 [4 per cell]
S1 0.219 0.219 0.168 [8 per cell]

Most intense lines, 10 to 80 degrees two-theta, most intense first:
- 2θ 28.97, 3.082 Å, I 100
- 2θ 46.89, 1.937 Å, I 54
- 2θ 25.28, 3.523 Å, I 44
- 2θ 36.05, 2.491 Å, I 38
- 2θ 53.47, 1.714 Å, I 21
- 2θ 17.80, 4.983 Å, I 15
- 2θ 72.52, 1.303 Å, I 14
- 2θ 77.75, 1.228 Å, I 13
- 2θ 51.90, 1.762 Å, I 12
- 2θ 60.54, 1.529 Å, I 12

---

Structure and calculated X-ray diffraction stick pattern of UTl3Ag2S6 (DFT lattice parameters and positions (PBE); Cu Kα).
No peak broadening, texture or thermal motion is included.

Cell lengths 6.483, 12.110, 7.783 Å; angles 90.00, 105.26, 90.00 degrees
Space group C2/m (No. 12)
Asymmetric unit:
U1 0.000 0.000 0.000 [2 per cell]
Tl1 0.000 0.177 0.500 [4 per cell]
Tl2 0.000 0.500 0.500 [2 per cell]
Ag1 0.000 0.356 0.000 [4 per cell]
S1 0.222 0.000 0.771 [4 per cell]
S2 0.237 0.152 0.190 [8 per cell]

Most intense lines, 10 to 80 degrees two-theta, most intense first:
- 2θ 30.43, 2.938 Å, I 100
- 2θ 27.26, 3.271 Å, I 62
- 2θ 23.70, 3.755 Å, I 49
- 2θ 32.07, 2.791 Å, I 44
- 2θ 41.68, 2.167 Å, I 38
- 2θ 28.54, 3.127 Å, I 29
- 2θ 47.74, 1.905 Å, I 28
- 2θ 42.19, 2.142 Å, I 20
- 2θ 44.90, 2.019 Å, I 18
- 2θ 48.16, 1.889 Å, I 17

---

Repeat the second record exactly.
Structure and calculated X-ray diffraction stick pattern of Tl3Ag2S3 (DFT lattice parameters and positions (PBE); Cu Kα).
No peak broadening, texture or thermal motion is included.

Cell lengths 4.119, 13.449, 14.586 Å; angles 90.00, 90.00, 90.00 degrees
Space group Cmcm (No. 63)
Asymmetric unit:
Tl1 0.000 0.070 0.125 [8 per cell]
Tl2 0.000 0.371 0.250 [4 per cell]
Ag1 0.000 0.218 0.580 [8 per cell]
S1 0.000 0.284 0.750 [4 per cell]
S2 0.000 0.378 0.025 [8 per cell]

Most intense lines, 10 to 80 degrees two-theta, most intense first:
- 2θ 33.49, 2.676 Å, I 100
- 2θ 30.09, 2.970 Å, I 83
- 2θ 22.57, 3.939 Å, I 37
- 2θ 52.54, 1.742 Å, I 28
- 2θ 32.37, 2.765 Å, I 24
- 2θ 27.22, 3.276 Å, I 23
- 2θ 43.97, 2.059 Å, I 23
- 2θ 34.86, 2.573 Å, I 22
- 2θ 29.20, 3.058 Å, I 18
- 2θ 51.25, 1.783 Å, I 17

---

Copy entry 2 word for word.
Structure and calculated X-ray diffraction stick pattern of Tl3Ag2S3 (DFT lattice parameters and positions (PBE); Cu Kα).
No peak broadening, texture or thermal motion is included.

Cell lengths 4.119, 13.449, 14.586 Å; angles 90.00, 90.00, 90.00 degrees
Space group Cmcm (No. 63)
Asymmetric unit:
Tl1 0.000 0.070 0.125 [8 per cell]
Tl2 0.000 0.371 0.250 [4 per cell]
Ag1 0.000 0.218 0.580 [8 per cell]
S1 0.000 0.284 0.750 [4 per cell]
S2 0.000 0.378 0.025 [8 per cell]

Most intense lines, 10 to 80 degrees two-theta, most intense first:
- 2θ 33.49, 2.676 Å, I 100
- 2θ 30.09, 2.970 Å, I 83
- 2θ 22.57, 3.939 Å, I 37
- 2θ 52.54, 1.742 Å, I 28
- 2θ 32.37, 2.765 Å, I 24
- 2θ 27.22, 3.276 Å, I 23
- 2θ 43.97, 2.059 Å, I 23
- 2θ 34.86, 2.573 Å, I 22
- 2θ 29.20, 3.058 Å, I 18
- 2θ 51.25, 1.783 Å, I 17